# 1
The following is a computed X-ray powder pattern of CaDy2Mg5. It was derived from a crystal structure in Alexandria, relaxed with PBE, using Cu Ka.
Peak positions follow from Bragg's law for the DFT cell and can differ from measured ones.

Lattice parameters (Å, degrees): 4.989 4.989 17.363 90.00 90.00 90.00
Space group I4/mmm (No. 139)
Asymmetric unit:
Ca1 0.000 0.000 0.000 [2 per cell]
Dy1 0.000 0.000 0.257 [4 per cell]
Mg1 0.000 0.000 0.500 [2 per cell]
Mg2 0.000 0.500 0.123 [8 per cell]

Principal peaks in the range 2θ = 10–90°, sorted by position:
2θ 10.19, rel. 923, (0 0 2)
2θ 20.46, rel. 265, (0 0 4)
2θ 25.25, rel. 331, (1 1 0)
2θ 27.29, rel. 426, (1 1 2)
2θ 32.71, rel. 1000, (1 1 4)
2θ 36.00, rel. 392, (2 0 0)
2θ 37.51, rel. 180, (2 0 2)
2θ 41.76, rel. 170, (2 0 4)
2θ 56.18, rel. 197, (2 0 8)
2θ 62.65, rel. 298, (3 1 4)

=====

# 2
The following is a computed X-ray powder pattern of CaDy5Mg4. It was derived from a crystal structure in Alexandria, relaxed with PBE, using Cu Ka.
Peak positions follow from Bragg's law for the DFT cell and can differ from measured ones.

Lattice parameters (Å, degrees): 3.794 3.794 20.162 90.00 90.00 90.00
Space group P4/mmm (No. 123)
Asymmetric unit:
Ca1 0.000 0.000 0.000 [1 per cell]
Dy1 0.500 0.500 0.131 [2 per cell]
Dy2 0.500 0.500 0.313 [2 per cell]
Dy3 0.500 0.500 0.500 [1 per cell]
Mg1 0.000 0.000 0.221 [2 per cell]
Mg2 0.000 0.000 0.406 [2 per cell]

Principal peaks in the range 2θ = 10–90°, sorted by position:
2θ 22.04, rel. 276, (0 0 5)
2θ 23.45, rel. 806, (1 0 0)
2θ 32.40, rel. 1000, (1 0 5)
2θ 33.40, rel. 694, (1 1 0)
2θ 35.69, rel. 320, (1 0 6)
2θ 40.39, rel. 236, (1 1 5)
2θ 47.96, rel. 251, (2 0 0)
2θ 55.68, rel. 243, (1 0 11)
2θ 59.07, rel. 355, (2 1 5)
2θ 61.23, rel. 318, (1 1 11)

=====

# 3
The following is a computed X-ray powder pattern of CaDy3Mg6. It was derived from a crystal structure in Alexandria, relaxed with PBE, using Cu Ka.
Peak positions follow from Bragg's law for the DFT cell and can differ from measured ones.

Lattice parameters (Å, degrees): 9.286 5.336 11.369 90.00 106.07 90.00
Space group P2_1/m (No. 11)
Asymmetric unit:
Ca1 0.052 0.250 0.394 [2 per cell]
Dy1 0.253 0.250 0.995 [2 per cell]
Dy2 0.357 0.750 0.802 [2 per cell]
Dy3 0.460 0.250 0.605 [2 per cell]
Mg1 0.050 0.750 0.907 [2 per cell]
Mg2 0.146 0.750 0.196 [2 per cell]
Mg3 0.153 0.250 0.701 [2 per cell]
Mg4 0.252 0.750 0.499 [2 per cell]
Mg5 0.343 0.250 0.292 [2 per cell]
Mg6 0.439 0.750 0.101 [2 per cell]

Principal peaks in the range 2θ = 10–90°, sorted by position:
2θ 14.45, rel. 129, (1 0 1)
2θ 23.52, rel. 708, (1 1 -2)
2θ 33.39, rel. 280, (2 0 -4)
2θ 33.51, rel. 1000, (1 1 3)
2θ 33.59, rel. 252, (0 2 0)
2θ 41.43, rel. 109, (2 2 1)
2θ 48.11, rel. 289, (2 2 -4)
2θ 54.23, rel. 106, (0 2 5)
2θ 59.70, rel. 148, (5 1 -5)
2θ 60.00, rel. 319, (1 3 3)

=====

# 4
The following is a computed X-ray powder pattern of Ca3Dy3MgS8. It was derived from a crystal structure in Alexandria, relaxed with PBE, using Cu Ka.
Peak positions follow from Bragg's law for the DFT cell and can differ from measured ones.

Lattice parameters (Å, degrees): 7.8395 7.8395 19.6038 90.00 90.00 120.00
Space group R-3m (No. 166, hexagonal axes)
Asymmetric unit:
Ca1 0.0000 0.5000 0.0000 [9 per cell]
Dy1 0.0000 0.5000 0.5000 [9 per cell]
Mg1 0.0000 0.0000 0.5000 [3 per cell]
S1 0.0000 0.0000 0.2477 [6 per cell]
S2 0.0098 0.5049 0.2438 [18 per cell]

Principal peaks in the range 2θ = 10–90°, sorted by position:
2θ 13.55, rel. 512, (0 0 3)
2θ 15.88, rel. 213, (0 1 2)
2θ 26.65, rel. 268, (0 2 1)
2θ 27.81, rel. 234, (2 0 2)
2θ 32.07, rel. 1000, (0 2 4)
2θ 45.66, rel. 352, (2 0 8)
2θ 46.33, rel. 343, (2 2 0)
2θ 57.46, rel. 175, (4 0 4)
2θ 75.81, rel. 147, (2 2 12)
2θ 76.79, rel. 147, (2 4 4)